Computed powder diffractogram
Compound: Co2TcF
Radiation: a wavelength of 1.5418 Å
Structure: a cell relaxed with GGA+U
Neutral-atom scattering factors, no anomalous dispersion.

Peak list (10 most intense, 10 to 90 degrees two-theta, by intensity)
| 2θ (°) | I_rel |
| --- | --- |
| 39.03 | 100.0 |
| 41.76 | 89.3 |
| 35.81 | 57.5 |
| 58.49 | 55.2 |
| 56.38 | 28.6 |
| 22.70 | 27.7 |
| 45.63 | 23.2 |
| 84.54 | 19.4 |
| 85.62 | 14.4 |
| 75.35 | 12.6 |

Crystal structure
Cell: 5.225 5.225 5.225 Å, 102.68 102.68 124.11°
Atoms (fractional coordinates):
Co  0.087  0.125  0.462
Co  0.375  0.913  0.038
Co  0.663  0.625  0.538
Co  0.875  0.337  0.962
Tc  0.250  0.750  0.500
Tc  0.500  0.500  0.000
F  0.000  0.000  0.000
F  0.750  0.250  0.500